(1)
Starting from a GGA-PBE-relaxed structure, the powder diffraction line list of K5LiAu4 was computed for Cu Kα.

Crystal structure
Lattice parameters (Å, degrees): 10.525 10.525 8.215 111.11 111.11 25.79
Positions (direct):
K (0.000, 0.000, 0.000)
K (0.306, 0.306, 0.709)
K (0.356, 0.356, 0.241)
K (0.644, 0.644, 0.759)
K (0.694, 0.694, 0.291)
Li (0.000, 0.000, 0.500)
Au (0.120, 0.120, 0.441)
Au (0.470, 0.470, 0.647)
Au (0.530, 0.530, 0.353)
Au (0.880, 0.880, 0.559)

Main lines, sorted by position (10 to 80 degrees two-theta):
- 2θ 11.6, 7.634 Å, rel. 1000
- 2θ 17.4, 5.109 Å, rel. 217
- 2θ 17.9, 4.947 Å, rel. 194
- 2θ 23.5, 3.778 Å, rel. 178
- 2θ 23.9, 3.727 Å, rel. 413
- 2θ 30.2, 2.961 Å, rel. 218
- 2θ 32.9, 2.722 Å, rel. 159
- 2θ 35.5, 2.527 Å, rel. 350
- 2θ 37.9, 2.373 Å, rel. 287
- 2θ 38.3, 2.349 Å, rel. 175

(2)
Starting from a GGA-PBE-relaxed structure, the powder diffraction line list of PrSi3Ni3 was computed for Cu Kα.

Crystal structure
Lattice parameters (Å, degrees): 7.885 7.885 7.885 45.51 45.51 45.51
Positions (direct):
Pr (0.167, 0.167, 0.167)
Pr (0.833, 0.833, 0.833)
Si (0.183, 0.661, 0.377)
Si (0.339, 0.623, 0.817)
Si (0.377, 0.183, 0.661)
Si (0.623, 0.817, 0.339)
Si (0.661, 0.377, 0.183)
Si (0.817, 0.339, 0.623)
Ni (0.061, 0.578, 0.251)
Ni (0.251, 0.061, 0.578)
Ni (0.422, 0.749, 0.939)
Ni (0.578, 0.251, 0.061)
Ni (0.749, 0.939, 0.422)
Ni (0.939, 0.422, 0.749)

Main lines, sorted by position (10 to 80 degrees two-theta):
- 2θ 18.8, 4.726 Å, rel. 360
- 2θ 32.0, 2.799 Å, rel. 1000
- 2θ 34.2, 2.624 Å, rel. 214
- 2θ 38.1, 2.364 Å, rel. 254
- 2θ 38.3, 2.352 Å, rel. 197
- 2θ 39.0, 2.307 Å, rel. 478
- 2θ 45.6, 1.988 Å, rel. 391
- 2θ 46.3, 1.962 Å, rel. 164
- 2θ 48.9, 1.862 Å, rel. 230
- 2θ 60.7, 1.527 Å, rel. 177

(3)
Starting from a GGA-PBE-relaxed structure, the powder diffraction line list of HfTl8S6 was computed for Cu Kα.

Crystal structure
Lattice parameters (Å, degrees): 7.850 8.894 14.563 90.00 90.00 90.00
Positions (direct):
Hf (0.000, 0.053, 0.000)
Hf (0.500, 0.947, 0.500)
Tl (0.000, 0.092, 0.545)
Tl (0.000, 0.688, 0.944)
Tl (0.225, 0.641, 0.382)
Tl (0.232, 0.864, 0.720)
Tl (0.247, 0.570, 0.137)
Tl (0.253, 0.430, 0.637)
Tl (0.268, 0.136, 0.220)
Tl (0.275, 0.359, 0.882)
Tl (0.500, 0.312, 0.444)
Tl (0.500, 0.908, 0.045)
Tl (0.725, 0.359, 0.882)
Tl (0.732, 0.136, 0.220)
Tl (0.747, 0.430, 0.637)
Tl (0.753, 0.570, 0.137)
Tl (0.768, 0.864, 0.720)
Tl (0.775, 0.641, 0.382)
S (0.000, 0.320, 0.029)
S (0.000, 0.401, 0.496)
S (0.000, 0.541, 0.773)
S (0.000, 0.926, 0.145)
S (0.244, 0.996, 0.908)
S (0.256, 0.004, 0.408)
S (0.500, 0.074, 0.645)
S (0.500, 0.459, 0.273)
S (0.500, 0.599, 0.996)
S (0.500, 0.680, 0.529)
S (0.744, 0.004, 0.408)
S (0.756, 0.996, 0.908)

Main lines, sorted by position (10 to 80 degrees two-theta):
- 2θ 20.9, 4.256 Å, rel. 802
- 2θ 25.5, 3.487 Å, rel. 168
- 2θ 25.8, 3.455 Å, rel. 432
- 2θ 26.5, 3.369 Å, rel. 390
- 2θ 27.7, 3.221 Å, rel. 212
- 2θ 31.0, 2.885 Å, rel. 1000
- 2θ 32.6, 2.746 Å, rel. 295
- 2θ 33.6, 2.669 Å, rel. 282
- 2θ 35.1, 2.557 Å, rel. 204
- 2θ 46.3, 1.962 Å, rel. 275

(4)
Starting from a GGA-PBE-relaxed structure, the powder diffraction line list of Ga6Ni12Pd was computed for Cu Kα.

Crystal structure
Lattice parameters (Å, degrees): 6.665 6.665 6.665 106.02 106.02 106.02
Positions (direct):
Ga (0.288, 0.288, 0.705)
Ga (0.288, 0.705, 0.288)
Ga (0.295, 0.712, 0.712)
Ga (0.705, 0.288, 0.288)
Ga (0.712, 0.295, 0.712)
Ga (0.712, 0.712, 0.295)
Ni (0.115, 0.500, 0.885)
Ni (0.115, 0.885, 0.500)
Ni (0.126, 0.365, 0.365)
Ni (0.365, 0.126, 0.365)
Ni (0.365, 0.365, 0.126)
Ni (0.500, 0.115, 0.885)
Ni (0.500, 0.885, 0.115)
Ni (0.635, 0.635, 0.874)
Ni (0.635, 0.874, 0.635)
Ni (0.874, 0.635, 0.635)
Ni (0.885, 0.115, 0.500)
Ni (0.885, 0.500, 0.115)
Pd (0.000, 0.000, 0.000)

Main lines, sorted by position (10 to 80 degrees two-theta):
- 2θ 28.1, 3.177 Å, rel. 408
- 2θ 34.7, 2.588 Å, rel. 239
- 2θ 37.0, 2.428 Å, rel. 1000
- 2θ 38.8, 2.319 Å, rel. 706
- 2θ 44.4, 2.040 Å, rel. 765
- 2θ 46.0, 1.974 Å, rel. 669
- 2θ 49.1, 1.856 Å, rel. 678
- 2θ 51.3, 1.782 Å, rel. 586
- 2θ 53.9, 1.700 Å, rel. 202
- 2θ 55.2, 1.664 Å, rel. 622

(5)
Starting from a GGA-PBE-relaxed structure, the powder diffraction line list of K2SmI6 was computed for Cu Kα.

Crystal structure
Lattice parameters (Å, degrees): 8.553 9.277 13.346 90.00 127.28 90.00
Positions (direct):
K (0.221, 0.103, 0.242)
K (0.221, 0.397, 0.742)
K (0.779, 0.603, 0.258)
K (0.779, 0.897, 0.758)
Sm (0.500, 0.000, 0.000)
Sm (0.500, 0.500, 0.500)
I (0.138, 0.176, 0.933)
I (0.138, 0.324, 0.433)
I (0.273, 0.713, 0.942)
I (0.273, 0.787, 0.442)
I (0.355, 0.028, 0.728)
I (0.355, 0.472, 0.228)
I (0.645, 0.528, 0.772)
I (0.645, 0.972, 0.272)
I (0.727, 0.213, 0.558)
I (0.727, 0.287, 0.058)
I (0.862, 0.676, 0.567)
I (0.862, 0.824, 0.067)

Main lines, sorted by position (10 to 80 degrees two-theta):
- 2θ 12.7, 6.986 Å, rel. 480
- 2θ 14.1, 6.285 Å, rel. 516
- 2θ 22.9, 3.881 Å, rel. 577
- 2θ 23.2, 3.833 Å, rel. 547
- 2θ 24.1, 3.693 Å, rel. 634
- 2θ 25.5, 3.493 Å, rel. 466
- 2θ 27.7, 3.220 Å, rel. 1000
- 2θ 27.9, 3.198 Å, rel. 418
- 2θ 28.4, 3.142 Å, rel. 440
- 2θ 30.7, 2.908 Å, rel. 483

(6)
Starting from a GGA-PBE-relaxed structure, the powder diffraction line list of PmNdSi2Ni2 was computed for Cu Kα.

Crystal structure
Lattice parameters (Å, degrees): 4.009 4.009 8.430 90.00 90.00 120.00
Positions (direct):
Pm (0.000, 0.000, 0.000)
Nd (0.000, 0.000, 0.500)
Si (0.333, 0.667, 0.248)
Si (0.667, 0.333, 0.752)
Ni (0.333, 0.667, 0.752)
Ni (0.667, 0.333, 0.248)

Main lines, sorted by position (10 to 80 degrees two-theta):
- 2θ 25.7, 3.472 Å, rel. 255
- 2θ 27.8, 3.210 Å, rel. 43
- 2θ 33.4, 2.680 Å, rel. 1000
- 2θ 42.9, 2.107 Å, rel. 128
- 2θ 45.2, 2.005 Å, rel. 328
- 2θ 50.7, 1.801 Å, rel. 83
- 2θ 57.4, 1.605 Å, rel. 208
- 2θ 64.1, 1.452 Å, rel. 226
- 2θ 72.6, 1.302 Å, rel. 102
- 2θ 75.9, 1.253 Å, rel. 181

(7)
Starting from a GGA-PBE-relaxed structure, the powder diffraction line list of DyErTeC was computed for Cu Kα.

Crystal structure
Lattice parameters (Å, degrees): 3.791 3.791 21.217 90.00 90.00 120.00
Positions (direct):
Dy (0.000, 0.000, 0.000)
Dy (0.333, 0.667, 0.667)
Dy (0.667, 0.333, 0.333)
Er (0.000, 0.000, 0.790)
Er (0.333, 0.667, 0.457)
Er (0.667, 0.333, 0.123)
Te (0.000, 0.000, 0.227)
Te (0.333, 0.667, 0.894)
Te (0.667, 0.333, 0.561)
C (0.000, 0.000, 0.397)
C (0.333, 0.667, 0.063)
C (0.667, 0.333, 0.730)

Main lines, sorted by position (10 to 80 degrees two-theta):
- 2θ 27.5, 3.245 Å, rel. 480
- 2θ 32.1, 2.792 Å, rel. 882
- 2θ 34.5, 2.597 Å, rel. 1000
- 2θ 38.2, 2.357 Å, rel. 264
- 2θ 48.0, 1.896 Å, rel. 493
- 2θ 51.3, 1.782 Å, rel. 159
- 2θ 58.9, 1.568 Å, rel. 158
- 2θ 60.5, 1.531 Å, rel. 197
- 2θ 62.9, 1.477 Å, rel. 371
- 2θ 79.3, 1.208 Å, rel. 134

(8)
Starting from a GGA-PBE-relaxed structure, the powder diffraction line list of ThZr3S was computed for Cu Kα.

Crystal structure
Lattice parameters (Å, degrees): 4.969 4.969 4.969 90.00 90.00 90.00
Positions (direct):
Th (0.000, 0.000, 0.000)
Zr (0.000, 0.500, 0.500)
Zr (0.500, 0.000, 0.500)
Zr (0.500, 0.500, 0.000)
S (0.500, 0.500, 0.500)

Main lines, sorted by position (10 to 80 degrees two-theta):
- 2θ 17.9, 4.969 Å, rel. 102
- 2θ 25.3, 3.514 Å, rel. 301
- 2θ 31.2, 2.869 Å, rel. 1000
- 2θ 36.2, 2.484 Å, rel. 656
- 2θ 44.7, 2.029 Å, rel. 136
- 2θ 52.1, 1.757 Å, rel. 457
- 2θ 61.9, 1.498 Å, rel. 423
- 2θ 65.0, 1.434 Å, rel. 155
- 2θ 71.0, 1.328 Å, rel. 73
- 2θ 76.7, 1.242 Å, rel. 72